# GeC
Simulated powder diffractogram, Cu Kα X-rays. Input: a cell relaxed with PBE.
Intensities are scaled so that the largest is 100.

Top 10 peaks for 2θ from 10° to 80°, by angle:
- 14.9 deg, rel. 22
- 21.1 deg, rel. 47
- 29.1 deg, rel. 16
- 33.7 deg, rel. 56
- 36.3 deg, rel. 100
- 47.8 deg, rel. 13
- 48.4 deg, rel. 20
- 52.8 deg, rel. 12
- 62.0 deg, rel. 41
- 66.9 deg, rel. 16

Crystal structure
Cell: 6.1714 6.1714 6.1714 Å, 94.07 94.07 149.08°
Atoms (fractional coordinates):
1 Ge 0.1183 0.7104 0.8287
2 Ge 0.2896 0.1183 0.4079
3 Ge 0.7104 0.8817 0.5921
4 Ge 0.8817 0.2896 0.1713
5 C 0.1133 0.2848 0.3981
6 C 0.2848 0.8867 0.1715
7 C 0.7152 0.1133 0.8285
8 C 0.8867 0.7152 0.6019